For Cu4Ag, a PBE-relaxed structure gives the simulated powder XRD pattern in this record (Cu Kα X-rays).
Lines closer than 0.1° are merged.

Largest 10 diffraction maxima, in order of rising 2θ, 15° ≤ 2θ ≤ 90°:
2θ (°), Rel. int.
41.83, 100.0
42.16, 33.0
47.84, 45.8
50.63, 16.6
72.02, 10.3
72.40, 10.7
84.72, 7.4
84.90, 7.6
85.07, 7.1
85.44, 7.4

Lattice parameters (Å, degrees): 9.2208 9.2208 5.3570 98.72 98.72 16.84
Fractional coordinates of all 10 atoms:
Cu (0.0000, 0.0000, 0.0000)
Cu (0.0000, 0.0000, 0.5000)
Cu (0.1938, 0.1938, 0.5948)
Cu (0.4072, 0.4072, 0.2125)
Cu (0.4083, 0.4083, 0.6929)
Cu (0.5917, 0.5917, 0.3071)
Cu (0.5928, 0.5928, 0.7875)
Cu (0.8062, 0.8062, 0.4052)
Ag (0.1942, 0.1942, 0.1058)
Ag (0.8058, 0.8058, 0.8942)

For CuH4C6IN2, a PBE-relaxed structure gives the simulated powder XRD pattern in this record (Cu Kα X-rays).
Lines closer than 0.1° are merged.

Largest 10 diffraction maxima, in order of rising 2θ, 15° ≤ 2θ ≤ 90°:
2θ (°), Rel. int.
17.55, 73.2
21.76, 59.6
23.48, 51.5
23.98, 87.0
24.15, 48.1
25.17, 43.8
27.56, 100.0
27.76, 47.5
30.11, 43.3
34.93, 46.9

Lattice parameters (Å, degrees): 4.0688 7.5352 12.4023 96.66 95.05 96.57
Fractional coordinates of all 28 atoms:
Cu (0.2285, 0.4080, 0.0401)
Cu (0.7715, 0.5920, 0.9599)
H (0.0139, 0.9031, 0.8403)
H (0.2164, 0.4999, 0.5730)
H (0.3778, 0.4260, 0.7580)
H (0.4733, 0.7946, 0.5177)
H (0.5267, 0.2054, 0.4823)
H (0.6222, 0.5740, 0.2420)
H (0.7836, 0.5001, 0.4270)
H (0.9861, 0.0969, 0.1597)
C (0.0873, 0.9636, 0.3520)
C (0.1625, 0.1821, 0.2213)
C (0.2397, 0.1297, 0.3245)
C (0.3936, 0.5949, 0.6284)
C (0.4659, 0.2435, 0.4016)
C (0.4825, 0.5520, 0.7322)
C (0.5175, 0.4480, 0.2678)
C (0.5341, 0.7565, 0.5984)
C (0.6064, 0.4051, 0.3716)
C (0.7603, 0.8703, 0.6755)
C (0.8375, 0.8179, 0.7787)
C (0.9127, 0.0364, 0.6480)
I (0.3283, 0.7631, 0.0631)
I (0.6717, 0.2369, 0.9369)
N (0.0349, 0.1704, 0.6214)
N (0.2993, 0.3390, 0.1936)
N (0.7007, 0.6610, 0.8064)
N (0.9651, 0.8296, 0.3786)

For LuCuGeTe3, a PBE-relaxed structure gives the simulated powder XRD pattern in this record (Cu Kα X-rays).
Lines closer than 0.1° are merged.

Largest 10 diffraction maxima, in order of rising 2θ, 15° ≤ 2θ ≤ 90°:
2θ (°), Rel. int.
24.18, 20.8
27.91, 48.2
30.59, 100.0
31.96, 15.6
35.48, 31.1
35.86, 17.6
42.05, 27.1
43.81, 53.5
52.77, 16.4
63.69, 15.4

Lattice parameters (Å, degrees): 10.0500 10.0500 8.2702 102.51 102.51 23.72
Fractional coordinates of all 12 atoms:
Lu (0.1583, 0.1583, 0.0825)
Lu (0.8417, 0.8417, 0.9175)
Cu (0.4533, 0.4533, 0.7876)
Cu (0.5467, 0.5467, 0.2124)
Ge (0.1158, 0.1158, 0.5605)
Ge (0.8842, 0.8842, 0.4395)
Te (0.0000, 0.0000, 0.0000)
Te (0.3213, 0.3213, 0.1685)
Te (0.3224, 0.3224, 0.6492)
Te (0.5000, 0.5000, 0.5000)
Te (0.6776, 0.6776, 0.3508)
Te (0.6787, 0.6787, 0.8315)

For Zr3Al3CoNiIr, a PBE-relaxed structure gives the simulated powder XRD pattern in this record (Cu Kα X-rays).
Lines closer than 0.1° are merged.

Largest 10 diffraction maxima, in order of rising 2θ, 15° ≤ 2θ ≤ 90°:
2θ (°), Rel. int.
25.30, 45.1
29.71, 31.5
36.42, 100.0
39.09, 38.7
39.41, 97.4
44.58, 44.6
47.41, 36.2
60.99, 20.5
71.67, 21.0
72.96, 27.9

Lattice parameters (Å, degrees): 7.0405 7.0405 3.4573 90.00 90.00 120.00
Fractional coordinates of all 9 atoms:
Zr (0.0108, 0.5958, 0.0000)
Zr (0.4042, 0.4149, 0.0000)
Zr (0.5851, 0.9892, 0.0000)
Al (0.0002, 0.2498, 0.5000)
Al (0.2496, 0.9998, 0.5000)
Al (0.7502, 0.7504, 0.5000)
Co (0.3333, 0.6667, 0.5000)
Ni (0.0000, 0.0000, 0.0000)
Ir (0.6667, 0.3333, 0.5000)

For HoLuMo2C3, a PBE-relaxed structure gives the simulated powder XRD pattern in this record (Cu Kα X-rays).
Lines closer than 0.1° are merged.

Largest 10 diffraction maxima, in order of rising 2θ, 15° ≤ 2θ ≤ 90°:
2θ (°), Rel. int.
27.08, 15.6
32.32, 54.3
33.54, 57.1
33.97, 100.0
36.96, 86.9
42.33, 24.1
54.68, 16.3
58.22, 15.1
64.96, 14.7
65.69, 16.6

Lattice parameters (Å, degrees): 5.8806 5.8806 5.6432 107.76 107.76 33.17
Fractional coordinates of all 7 atoms:
Ho (0.0000, 0.0000, 0.0000)
Lu (0.2297, 0.2297, 0.6380)
Mo (0.4656, 0.4656, 0.4502)
Mo (0.7633, 0.7633, 0.1901)
C (0.3433, 0.3433, 0.0727)
C (0.6154, 0.6154, 0.3247)
C (0.8824, 0.8824, 0.5643)

For HgTeNO, a PBE-relaxed structure gives the simulated powder XRD pattern in this record (Cu Kα X-rays).
Lines closer than 0.1° are merged.

Largest 10 diffraction maxima, in order of rising 2θ, 15° ≤ 2θ ≤ 90°:
2θ (°), Rel. int.
20.73, 59.9
26.25, 99.1
29.43, 71.4
33.64, 75.1
33.72, 100.0
35.88, 58.6
36.20, 34.4
42.18, 36.6
44.22, 32.9
50.30, 68.9

Lattice parameters (Å, degrees): 5.6252 5.6252 7.4450 90.02 90.02 137.29
Fractional coordinates of all 8 atoms:
Hg (0.1635, 0.8365, 0.0000)
Hg (0.8365, 0.1635, 0.0000)
Te (0.4997, 0.4997, 0.2951)
Te (0.5003, 0.5003, 0.7049)
N (0.9996, 0.9996, 0.2318)
N (0.0004, 0.0004, 0.7682)
O (0.3773, 0.6227, 0.5000)
O (0.6227, 0.3773, 0.5000)

For Ba2ZrBrO3, a PBE-relaxed structure gives the simulated powder XRD pattern in this record (Cu Kα X-rays).
Lines closer than 0.1° are merged.

Largest 10 diffraction maxima, in order of rising 2θ, 15° ≤ 2θ ≤ 90°:
2θ (°), Rel. int.
26.96, 18.6
29.71, 79.6
30.92, 100.0
35.42, 13.0
37.61, 13.0
42.52, 39.1
51.06, 13.3
53.49, 42.1
61.70, 12.4
69.96, 13.6

Lattice parameters (Å, degrees): 4.2524 4.2524 15.7776 90.00 90.00 90.00
Fractional coordinates of all 14 atoms:
Ba (0.2500, 0.2500, 0.0812)
Ba (0.2500, 0.2500, 0.3435)
Ba (0.7500, 0.7500, 0.6565)
Ba (0.7500, 0.7500, 0.9188)
Zr (0.2500, 0.2500, 0.7888)
Zr (0.7500, 0.7500, 0.2112)
Br (0.2500, 0.2500, 0.5750)
Br (0.7500, 0.7500, 0.4250)
O (0.2500, 0.2500, 0.9135)
O (0.2500, 0.7500, 0.2377)
O (0.2500, 0.7500, 0.7623)
O (0.7500, 0.2500, 0.2377)
O (0.7500, 0.2500, 0.7623)
O (0.7500, 0.7500, 0.0865)

For Ta4Fe3W2C3, a PBE-relaxed structure gives the simulated powder XRD pattern in this record (Cu Kα X-rays).
Lines closer than 0.1° are merged.

Largest 10 diffraction maxima, in order of rising 2θ, 15° ≤ 2θ ≤ 90°:
2θ (°), Rel. int.
27.11, 63.5
34.14, 43.6
34.84, 84.2
35.12, 43.8
40.00, 95.6
40.04, 99.7
40.27, 100.0
41.17, 46.3
61.49, 36.8
68.44, 37.2

Lattice parameters (Å, degrees): 5.2523 5.2523 13.5056 101.33 101.33 59.47
Fractional coordinates of all 24 atoms:
Ta (0.0252, 0.1985, 0.0918)
Ta (0.1356, 0.3064, 0.4079)
Ta (0.1985, 0.0252, 0.5918)
Ta (0.3064, 0.1356, 0.9079)
Ta (0.6936, 0.8644, 0.0921)
Ta (0.8015, 0.9748, 0.4082)
Ta (0.8644, 0.6936, 0.5921)
Ta (0.9748, 0.8015, 0.9082)
Fe (0.0845, 0.4143, 0.7504)
Fe (0.0892, 0.9108, 0.7500)
Fe (0.4143, 0.0845, 0.2504)
Fe (0.5857, 0.9155, 0.7496)
Fe (0.9108, 0.0892, 0.2500)
Fe (0.9155, 0.5857, 0.2496)
W (0.3662, 0.5393, 0.1178)
W (0.4607, 0.6338, 0.3822)
W (0.5393, 0.3662, 0.6178)
W (0.6338, 0.4607, 0.8822)
C (0.0000, 0.5000, 0.0000)
C (0.1946, 0.6525, 0.4997)
C (0.3475, 0.8054, 0.0003)
C (0.5000, 0.0000, 0.5000)
C (0.6525, 0.1946, 0.9997)
C (0.8054, 0.3475, 0.5003)

For Li2Hf2Al2IrPd, a PBE-relaxed structure gives the simulated powder XRD pattern in this record (Cu Kα X-rays).
Lines closer than 0.1° are merged.

Largest 10 diffraction maxima, in order of rising 2θ, 15° ≤ 2θ ≤ 90°:
2θ (°), Rel. int.
19.91, 2.4
24.45, 83.1
28.31, 2.5
40.46, 100.0
47.85, 42.0
58.56, 17.0
64.41, 17.3
73.60, 34.5
78.89, 13.1
87.52, 11.3

Lattice parameters (Å, degrees): 4.4584 4.4584 6.3051 90.00 90.00 90.00
Fractional coordinates of all 8 atoms:
Li (0.0000, 0.0000, 0.0000)
Li (0.5000, 0.5000, 0.5000)
Hf (0.0000, 0.5000, 0.2469)
Hf (0.5000, 0.0000, 0.7531)
Al (0.0000, 0.5000, 0.7571)
Al (0.5000, 0.0000, 0.2429)
Ir (0.5000, 0.5000, 0.0000)
Pd (0.0000, 0.0000, 0.5000)

For Li2Nb2AlGaPd2, a PBE-relaxed structure gives the simulated powder XRD pattern in this record (Cu Kα X-rays).
Lines closer than 0.1° are merged.

Largest 10 diffraction maxima, in order of rising 2θ, 15° ≤ 2θ ≤ 90°:
2θ (°), Rel. int.
20.14, 1.6
24.73, 49.0
28.63, 2.1
40.94, 100.0
48.42, 23.1
59.28, 16.4
65.22, 9.2
74.56, 32.6
79.95, 6.9
88.76, 10.6

Lattice parameters (Å, degrees): 4.4089 4.4089 6.2348 90.00 90.00 90.00
Fractional coordinates of all 8 atoms:
Li (0.0000, 0.5000, 0.2485)
Li (0.5000, 0.0000, 0.7515)
Nb (0.0000, 0.0000, 0.0000)
Nb (0.5000, 0.5000, 0.5000)
Al (0.0000, 0.0000, 0.5000)
Ga (0.5000, 0.5000, 0.0000)
Pd (0.0000, 0.5000, 0.7471)
Pd (0.5000, 0.0000, 0.2529)

For Mg2Ga4CuPd, a PBE-relaxed structure gives the simulated powder XRD pattern in this record (Cu Kα X-rays).
Lines closer than 0.1° are merged.

Largest 10 diffraction maxima, in order of rising 2θ, 15° ≤ 2θ ≤ 90°:
2θ (°), Rel. int.
19.09, 60.3
22.77, 43.5
24.02, 29.7
34.76, 100.0
38.70, 88.6
44.64, 70.6
44.87, 57.7
45.03, 94.9
46.51, 42.6
66.61, 27.9

Lattice parameters (Å, degrees): 7.1933 5.0696 5.0696 46.97 90.00 90.00
Fractional coordinates of all 8 atoms:
Mg (0.0000, 0.0000, 0.0000)
Mg (0.5000, 0.1385, 0.1385)
Ga (0.2038, 0.7072, 0.7072)
Ga (0.3084, 0.4331, 0.4331)
Ga (0.6916, 0.4331, 0.4331)
Ga (0.7962, 0.7072, 0.7072)
Cu (0.5000, 0.8529, 0.8529)
Pd (0.0000, 0.2877, 0.2877)

For BaSrTmSb2, a PBE-relaxed structure gives the simulated powder XRD pattern in this record (Cu Kα X-rays).
Lines closer than 0.1° are merged.

Largest 10 diffraction maxima, in order of rising 2θ, 15° ≤ 2θ ≤ 90°:
2θ (°), Rel. int.
22.28, 46.5
25.25, 50.8
29.07, 50.6
29.31, 99.0
29.97, 34.3
31.96, 100.0
36.14, 56.5
39.05, 42.8
40.97, 31.1
51.17, 31.6

Lattice parameters (Å, degrees): 9.9581 9.9581 7.9787 90.00 90.00 151.09
Fractional coordinates of all 10 atoms:
Ba (0.1986, 0.8014, 0.5000)
Ba (0.8014, 0.1986, 0.0000)
Sr (0.0297, 0.9703, 0.1994)
Sr (0.9703, 0.0297, 0.6994)
Tm (0.4033, 0.5967, 0.3551)
Tm (0.5967, 0.4033, 0.8551)
Sb (0.1722, 0.8278, 0.9621)
Sb (0.4454, 0.5546, 0.9889)
Sb (0.5546, 0.4454, 0.4889)
Sb (0.8278, 0.1722, 0.4621)